K7HgAu3: calculated X-ray diffraction stick pattern (Cu Kα (weighted mean of Kα1 and Kα2)), based on a crystal structure in Alexandria, relaxed with PBE.

Structural model:
Lattice parameters (Å, degrees): 8.3998 8.3998 7.3451 104.35 104.35 97.03
Sites, in units of the cell vectors:
K 0.0000 0.0000 0.0000
K 0.1164 0.5358 0.2875
K 0.3415 0.3415 0.7919
K 0.4642 0.8836 0.7125
K 0.5358 0.1164 0.2875
K 0.6585 0.6585 0.2081
K 0.8836 0.4642 0.7125
Hg 0.0000 0.0000 0.5000
Au 0.2720 0.7280 0.0000
Au 0.5000 0.5000 0.5000
Au 0.7280 0.2720 0.0000

Main lines, sorted by position (2θ = 15–90°):
2θ (°), intensity
17.2, 69
19.2, 100
22.3, 52
25.4, 64
29.0, 75
35.3, 45

LaPrNdO: calculated X-ray diffraction stick pattern (Cu Kα (weighted mean of Kα1 and Kα2)), based on a crystal structure in Alexandria, relaxed with PBE.

Structural model:
Lattice parameters (Å, degrees): 4.2203 4.2203 14.5507 90.00 90.00 90.00
Sites, in units of the cell vectors:
La 0.2500 0.7500 0.0000
La 0.7500 0.2500 0.0000
Pr 0.2500 0.2500 0.2162
Pr 0.7500 0.7500 0.7838
Nd 0.2500 0.2500 0.5735
Nd 0.7500 0.7500 0.4265
O 0.2500 0.7500 0.5000
O 0.7500 0.2500 0.5000

Main lines, sorted by position (2θ = 15–90°):
2θ (°), intensity
24.4, 89
28.0, 100
30.6, 58
32.4, 41
35.3, 44
42.9, 47

Cs3BeSe3: calculated X-ray diffraction stick pattern (Cu Kα (weighted mean of Kα1 and Kα2)), based on a crystal structure in Alexandria, relaxed with PBE.

Structural model:
Lattice parameters (Å, degrees): 10.0349 7.8941 13.8056 90.00 98.05 90.00
Sites, in units of the cell vectors:
Cs 0.0558 0.1491 0.1310
Cs 0.0558 0.3509 0.6310
Cs 0.3225 0.6737 0.7950
Cs 0.3225 0.8263 0.2950
Cs 0.3740 0.2066 0.9272
Cs 0.3740 0.2934 0.4272
Cs 0.6260 0.7066 0.5728
Cs 0.6260 0.7934 0.0728
Cs 0.6775 0.1737 0.7050
Cs 0.6775 0.3263 0.2050
Cs 0.9442 0.6491 0.3690
Cs 0.9442 0.8509 0.8690
Be 0.1362 0.5617 0.0390
Be 0.1362 0.9383 0.5390
Be 0.8638 0.0617 0.4610
Be 0.8638 0.4383 0.9610
Se 0.0610 0.0832 0.3991
Se 0.0610 0.4168 0.8991
Se 0.2586 0.6929 0.5313
Se 0.2586 0.8071 0.0313
Se 0.3283 0.0294 0.6357
Se 0.3283 0.4706 0.1357
Se 0.6717 0.5294 0.8643
Se 0.6717 0.9706 0.3643
Se 0.7414 0.1929 0.9687
Se 0.7414 0.3071 0.4687
Se 0.9390 0.5832 0.1009
Se 0.9390 0.9168 0.6009

Main lines, sorted by position (2θ = 15–90°):
2θ (°), intensity
20.2, 54
26.9, 100
28.5, 84
28.7, 75
29.2, 72
30.6, 56